Record 1
Structure and computed powder diffractogram of Sm3Ho2Sb3 (a crystal structure in Alexandria, relaxed with GGA-PBE; Cu Kα (λ = 1.5418 Å)).

Most intense lines, 10° ≤ 2θ ≤ 90°, low angle first:
| d/Å | 2θ (°) | I_rel |
| --- | --- | --- |
| 3.194 | 27.93 | 15 |
| 2.974 | 30.05 | 35 |
| 2.960 | 30.19 | 19 |
| 2.696 | 33.23 | 100 |
| 2.623 | 34.18 | 54 |
| 2.613 | 34.32 | 89 |
| 1.851 | 49.22 | 23 |
| 1.732 | 52.88 | 27 |
| 1.675 | 54.80 | 15 |
| 1.412 | 66.18 | 19 |

Crystal structure
```
Sm3Ho2Sb3
1.0
9.086 0.000 0.000
-4.543 7.869 0.000
0.000 0.000 6.389
Sm Ho Sb
6 4 6
Direct
0.000 0.248 0.250
0.000 0.752 0.750
0.248 0.000 0.250
0.248 0.248 0.750
0.752 0.000 0.750
0.752 0.752 0.250
0.333 0.667 0.000
0.333 0.667 0.500
0.667 0.333 0.000
0.667 0.333 0.500
0.000 0.392 0.750
0.000 0.608 0.250
0.392 0.000 0.750
0.392 0.392 0.250
0.608 0.000 0.250
0.608 0.608 0.750
```


Record 2
Structure and computed powder diffractogram of Ce2Pr2Ga3 (a crystal structure in Alexandria, relaxed with GGA-PBE; Cu Kα (λ = 1.5418 Å)).

Most intense lines, 10° ≤ 2θ ≤ 90°, low angle first:
| d/Å | 2θ (°) | I_rel |
| --- | --- | --- |
| 3.427 | 26.00 | 19 |
| 2.675 | 33.50 | 100 |
| 2.634 | 34.03 | 73 |
| 2.619 | 34.23 | 38 |
| 2.277 | 39.59 | 23 |
| 2.109 | 42.89 | 20 |
| 2.089 | 43.30 | 25 |
| 1.633 | 56.33 | 18 |
| 1.530 | 60.50 | 15 |
| 1.443 | 64.59 | 29 |

Crystal structure
```
Ce2Pr2Ga3
1.0
2.089 -12.185 0.000
2.089 12.185 0.000
0.000 0.000 3.427
Ce Pr Ga
2 2 3
Direct
0.213 0.787 0.000
0.787 0.213 0.000
0.074 0.926 0.000
0.926 0.074 0.000
0.352 0.648 0.500
0.500 0.500 0.500
0.648 0.352 0.500
```


Record 3
Structure and computed powder diffractogram of Zr6NiRh (a crystal structure in Alexandria, relaxed with GGA-PBE; Cu Kα (λ = 1.5418 Å)).

Most intense lines, 10° ≤ 2θ ≤ 90°, low angle first:
| d/Å | 2θ (°) | I_rel |
| --- | --- | --- |
| 2.971 | 30.08 | 43 |
| 2.932 | 30.49 | 29 |
| 2.725 | 32.87 | 48 |
| 2.636 | 34.01 | 29 |
| 2.608 | 34.38 | 25 |
| 2.582 | 34.75 | 85 |
| 2.333 | 38.59 | 100 |
| 1.874 | 48.58 | 30 |
| 1.739 | 52.63 | 39 |
| 1.723 | 53.16 | 38 |

Crystal structure
```
Zr6NiRh
1.0
3.013 -5.449 0.000
3.013 5.449 0.000
-2.888 0.000 5.217
Zr Ni Rh
6 1 1
Direct
0.035 0.442 0.245
0.243 0.243 0.761
0.442 0.035 0.245
0.558 0.965 0.755
0.757 0.757 0.239
0.965 0.558 0.755
0.000 0.000 0.000
0.500 0.500 0.500
```


Record 4
Structure and computed powder diffractogram of Te4MoW3Se2S2 (a crystal structure in Alexandria, relaxed with GGA-PBE; Cu Kα (λ = 1.5418 Å)).

Most intense lines, 10° ≤ 2θ ≤ 90°, low angle first:
| d/Å | 2θ (°) | I_rel |
| --- | --- | --- |
| 8.746 | 10.11 | 48 |
| 6.996 | 12.65 | 75 |
| 2.938 | 30.42 | 44 |
| 2.709 | 33.07 | 14 |
| 2.533 | 35.44 | 100 |
| 2.250 | 40.08 | 23 |
| 2.069 | 43.74 | 56 |
| 1.696 | 54.06 | 34 |
| 1.410 | 66.32 | 16 |
| 1.248 | 76.33 | 14 |

Crystal structure
```
Te4MoW3Se2S2
1.0
3.393 0.000 0.000
-1.696 2.938 0.000
0.000 0.000 34.982
Te Mo W Se S
4 1 3 2 2
Direct
0.000 0.000 0.000
0.000 0.000 0.107
0.667 0.333 0.222
0.667 0.333 0.330
0.667 0.333 0.054
0.000 0.000 0.276
0.000 0.000 0.847
0.667 0.333 0.645
0.000 0.000 0.597
0.000 0.000 0.692
0.667 0.333 0.803
0.667 0.333 0.890
```


Record 5
Structure and computed powder diffractogram of RbBe6As4 (a crystal structure in Alexandria, relaxed with GGA-PBE; Cu Kα (λ = 1.5418 Å)).

Most intense lines, 10° ≤ 2θ ≤ 90°, low angle first:
| d/Å | 2θ (°) | I_rel |
| --- | --- | --- |
| 3.057 | 29.21 | 100 |
| 2.752 | 32.53 | 16 |
| 2.667 | 33.60 | 16 |
| 2.536 | 35.40 | 13 |
| 1.916 | 47.46 | 13 |
| 1.865 | 48.83 | 15 |
| 1.838 | 49.60 | 11 |
| 1.642 | 56.01 | 16 |
| 1.605 | 57.40 | 10 |
| 1.547 | 59.79 | 13 |

Crystal structure
```
RbBe6As4
1.0
0.000 2.752 13.339
2.536 0.000 13.339
2.536 2.752 0.000
Rb Be As
1 6 4
Direct
0.000 0.000 0.000
0.135 0.135 0.365
0.250 0.250 0.250
0.365 0.365 0.135
0.635 0.635 0.865
0.750 0.750 0.750
0.865 0.865 0.635
0.197 0.197 0.803
0.411 0.411 0.589
0.589 0.589 0.411
0.803 0.803 0.197
```


Record 6
Structure and computed powder diffractogram of TiCdAsO5 (a crystal structure in Alexandria, relaxed with GGA-PBE; Cu Kα (λ = 1.5418 Å)).

Most intense lines, 10° ≤ 2θ ≤ 90°, low angle first:
| d/Å | 2θ (°) | I_rel |
| --- | --- | --- |
| 3.367 | 26.47 | 79 |
| 3.336 | 26.72 | 37 |
| 3.185 | 28.01 | 100 |
| 3.002 | 29.76 | 36 |
| 2.705 | 33.12 | 100 |
| 2.676 | 33.49 | 56 |
| 2.307 | 39.04 | 29 |
| 1.941 | 46.81 | 32 |
| 1.731 | 52.90 | 37 |
| 1.546 | 59.84 | 25 |

Crystal structure
```
TiCdAsO5
1.0
3.495 -4.481 0.000
3.495 4.481 0.000
-3.014 0.000 6.673
Ti Cd As O
2 2 2 10
Direct
0.000 0.000 0.000
0.000 0.000 0.500
0.318 0.682 0.750
0.682 0.318 0.250
0.326 0.674 0.250
0.674 0.326 0.750
0.064 0.936 0.750
0.117 0.683 0.392
0.267 0.365 0.092
0.317 0.883 0.108
0.365 0.267 0.592
0.635 0.733 0.408
0.683 0.117 0.892
0.733 0.635 0.908
0.883 0.317 0.608
0.936 0.064 0.250
```


Record 7
Structure and computed powder diffractogram of Pa2SnP2N2 (a crystal structure in Alexandria, relaxed with GGA-PBE; Cu Kα (λ = 1.5418 Å)).

Most intense lines, 10° ≤ 2θ ≤ 90°, low angle first:
| d/Å | 2θ (°) | I_rel |
| --- | --- | --- |
| 6.038 | 14.67 | 57 |
| 3.137 | 28.45 | 100 |
| 3.019 | 29.59 | 30 |
| 2.861 | 31.27 | 87 |
| 2.528 | 35.51 | 55 |
| 1.938 | 46.88 | 36 |
| 1.876 | 48.54 | 37 |
| 1.791 | 50.99 | 15 |
| 1.610 | 57.23 | 15 |
| 1.593 | 57.88 | 28 |

Crystal structure
```
Pa2SnP2N2
1.0
3.751 0.000 0.000
-1.876 3.249 0.000
0.000 0.000 12.076
Pa Sn P N
2 1 2 2
Direct
0.333 0.667 0.236
0.667 0.333 0.764
0.000 0.000 0.500
0.000 0.000 0.089
0.000 0.000 0.911
0.333 0.667 0.710
0.667 0.333 0.290
```


Record 8
Structure and computed powder diffractogram of Sm6SnRh (a crystal structure in Alexandria, relaxed with GGA-PBE; Cu Kα (λ = 1.5418 Å)).

Most intense lines, 10° ≤ 2θ ≤ 90°, low angle first:
| d/Å | 2θ (°) | I_rel |
| --- | --- | --- |
| 3.833 | 23.20 | 18 |
| 3.292 | 27.09 | 31 |
| 3.096 | 28.84 | 57 |
| 3.085 | 28.94 | 100 |
| 3.064 | 29.14 | 29 |
| 2.405 | 37.40 | 17 |
| 2.401 | 37.45 | 25 |
| 2.393 | 37.59 | 22 |
| 2.012 | 45.06 | 33 |
| 1.863 | 48.89 | 21 |

Crystal structure
```
Sm6SnRh
1.0
6.955 0.000 0.000
-3.470 6.074 0.000
-3.425 -2.022 6.584
Sm Sn Rh
6 1 1
Direct
0.038 0.080 0.256
0.297 0.717 0.255
0.321 0.540 0.745
0.679 0.460 0.255
0.703 0.283 0.745
0.962 0.920 0.744
0.500 0.000 0.000
0.500 0.500 0.500
```


Record 9
Structure and computed powder diffractogram of Ac12La7Er (a crystal structure in Alexandria, relaxed with GGA-PBE; Cu Kα (λ = 1.5418 Å)).

Most intense lines, 10° ≤ 2θ ≤ 90°, low angle first:
| d/Å | 2θ (°) | I_rel |
| --- | --- | --- |
| 6.140 | 14.43 | 24 |
| 3.883 | 22.90 | 39 |
| 3.545 | 25.12 | 90 |
| 3.282 | 27.17 | 52 |
| 3.070 | 29.09 | 100 |
| 2.746 | 32.61 | 24 |
| 2.507 | 35.82 | 23 |
| 2.171 | 41.60 | 47 |
| 2.106 | 42.94 | 36 |
| 1.992 | 45.53 | 34 |

Crystal structure
```
Ac12La7Er
1.0
-6.140 6.140 6.140
6.140 -6.140 6.140
6.140 6.140 -6.140
Ac La Er
12 7 1
Direct
0.071 0.801 0.269
0.199 0.269 0.468
0.199 0.731 0.929
0.269 0.071 0.801
0.269 0.468 0.199
0.468 0.199 0.269
0.532 0.801 0.731
0.731 0.532 0.801
0.731 0.929 0.199
0.801 0.269 0.071
0.801 0.731 0.532
0.929 0.199 0.731
0.000 0.000 0.500
0.000 0.500 0.000
0.000 0.500 0.500
0.500 0.000 0.000
0.500 0.000 0.500
0.500 0.500 0.000
0.500 0.500 0.500
0.000 0.000 0.000
```


Record 10
Structure and computed powder diffractogram of As (a crystal structure in Alexandria, relaxed with GGA-PBE; Cu Kα (λ = 1.5418 Å)).

Most intense lines, 10° ≤ 2θ ≤ 90°, low angle first:
| d/Å | 2θ (°) | I_rel |
| --- | --- | --- |
| 5.189 | 17.09 | 74 |
| 3.134 | 28.48 | 36 |
| 2.683 | 33.40 | 100 |
| 1.999 | 45.38 | 59 |
| 1.809 | 50.43 | 29 |
| 1.709 | 53.64 | 21 |
| 1.514 | 61.20 | 13 |
| 1.500 | 61.85 | 16 |
| 1.341 | 70.16 | 16 |
| 1.155 | 83.75 | 14 |

Crystal structure
```
As
1.0
3.619 0.000 0.000
-1.809 3.134 0.000
0.000 0.000 5.189
As
2
Direct
0.333 0.667 0.134
0.667 0.333 0.866
```


Record 11
Structure and computed powder diffractogram of K2ThBr6 (a crystal structure in Alexandria, relaxed with GGA-PBE; Cu Kα (λ = 1.5418 Å)).

Most intense lines, 10° ≤ 2θ ≤ 90°, low angle first:
| d/Å | 2θ (°) | I_rel |
| --- | --- | --- |
| 6.750 | 13.12 | 100 |
| 6.148 | 14.41 | 26 |
| 5.743 | 15.43 | 28 |
| 3.577 | 24.89 | 27 |
| 3.484 | 25.57 | 30 |
| 3.256 | 27.39 | 31 |
| 3.036 | 29.42 | 15 |
| 2.871 | 31.15 | 17 |
| 2.638 | 33.99 | 18 |
| 2.369 | 37.98 | 17 |

Crystal structure
```
K2ThBr6
1.0
7.884 0.000 0.000
0.000 8.430 0.000
-6.740 0.000 11.246
K Th Br
4 2 12
Direct
0.187 0.090 0.232
0.187 0.410 0.732
0.813 0.590 0.268
0.813 0.910 0.768
0.500 0.000 0.000
0.500 0.500 0.500
0.156 0.180 0.948
0.156 0.320 0.448
0.264 0.719 0.926
0.264 0.781 0.426
0.409 0.054 0.763
0.409 0.446 0.263
0.591 0.554 0.737
0.591 0.946 0.237
0.736 0.219 0.574
0.736 0.281 0.074
0.844 0.680 0.552
0.844 0.820 0.052
```


Record 12
Structure and computed powder diffractogram of SrTe5 (a crystal structure in Alexandria, relaxed with GGA-PBE; Cu Kα (λ = 1.5418 Å)).

Most intense lines, 10° ≤ 2θ ≤ 90°, low angle first:
| d/Å | 2θ (°) | I_rel |
| --- | --- | --- |
| 4.214 | 21.08 | 47 |
| 3.966 | 22.42 | 66 |
| 3.002 | 29.77 | 28 |
| 2.956 | 30.23 | 78 |
| 2.898 | 30.85 | 100 |
| 2.879 | 31.07 | 65 |
| 2.248 | 40.11 | 46 |
| 2.107 | 42.92 | 36 |
| 2.085 | 43.40 | 26 |
| 1.537 | 60.19 | 30 |

Crystal structure
```
SrTe5
1.0
5.918 -2.248 0.000
5.918 2.248 0.000
-2.960 0.000 9.005
Sr Te
1 5
Direct
0.000 0.000 0.000
0.077 0.077 0.377
0.377 0.377 0.735
0.420 0.420 0.248
0.617 0.617 0.753
0.726 0.726 0.065
```


Record 13
Structure and computed powder diffractogram of Ac2ZrGaO6 (a crystal structure in Alexandria, relaxed with GGA-PBE; Cu Kα (λ = 1.5418 Å)).

Most intense lines, 10° ≤ 2θ ≤ 90°, low angle first:
| d/Å | 2θ (°) | I_rel |
| --- | --- | --- |
| 4.172 | 21.30 | 21 |
| 2.950 | 30.30 | 54 |
| 2.899 | 30.85 | 100 |
| 2.381 | 37.79 | 24 |
| 2.086 | 43.38 | 31 |
| 2.016 | 44.97 | 12 |
| 1.693 | 54.17 | 43 |
| 1.664 | 55.19 | 18 |
| 1.449 | 64.26 | 16 |
| 1.112 | 87.77 | 12 |

Crystal structure
```
Ac2ZrGaO6
1.0
4.172 0.000 0.000
0.000 4.172 0.000
0.000 0.000 8.062
Ac Zr Ga O
2 1 1 6
Direct
0.000 0.000 0.234
0.000 0.000 0.766
0.500 0.500 0.500
0.500 0.500 0.000
0.000 0.500 0.000
0.000 0.500 0.500
0.500 0.000 0.000
0.500 0.000 0.500
0.500 0.500 0.239
0.500 0.500 0.761
```


Record 14
Structure and computed powder diffractogram of PuMnGeRu (a crystal structure in Alexandria, relaxed with GGA-PBE; Cu Kα (λ = 1.5418 Å)).

Most intense lines, 10° ≤ 2θ ≤ 90°, low angle first:
| d/Å | 2θ (°) | I_rel |
| --- | --- | --- |
| 3.664 | 24.30 | 30 |
| 3.173 | 28.13 | 13 |
| 2.243 | 40.20 | 100 |
| 1.913 | 47.52 | 16 |
| 1.586 | 58.15 | 17 |
| 1.456 | 63.95 | 7 |
| 1.419 | 65.82 | 5 |
| 1.295 | 73.05 | 34 |
| 1.221 | 78.29 | 5 |
| 1.122 | 86.83 | 11 |

Crystal structure
```
PuMnGeRu
1.0
0.000 3.173 3.173
3.173 0.000 3.173
3.173 3.173 0.000
Pu Mn Ge Ru
1 1 1 1
Direct
0.000 0.000 0.000
0.750 0.750 0.750
0.500 0.500 0.500
0.250 0.250 0.250
```